Starting from a PBE-relaxed structure, the powder diffraction line list of InSbPb6 was calculated for Cu Kα (λ = 1.5418 Å).
Neutral-atom scattering factors, no anomalous dispersion.

Most intense lines, 2θ from 5° to 70°, sorted by position:
Position (°2θ)	I_rel
30.0	33
30.5	31
33.2	100
43.3	24
51.7	7
55.3	24
55.9	22
60.9	9
61.2	9
62.3	4
63.4	4
69.7	12

Lattice parameters (Å, degrees): 7.069 11.734 5.960 90.00 90.00 90.00
Positions (direct):
In (0.000, 0.000, 0.000)
In (0.500, 0.500, 0.000)
Sb (0.000, 0.500, 0.000)
Sb (0.500, 0.000, 0.000)
Pb (0.000, 0.239, 0.500)
Pb (0.000, 0.761, 0.500)
Pb (0.238, 0.500, 0.500)
Pb (0.250, 0.250, 0.000)
Pb (0.250, 0.750, 0.000)
Pb (0.262, 0.000, 0.500)
Pb (0.500, 0.261, 0.500)
Pb (0.500, 0.739, 0.500)
Pb (0.738, 0.000, 0.500)
Pb (0.750, 0.250, 0.000)
Pb (0.750, 0.750, 0.000)
Pb (0.762, 0.500, 0.500)

***

Starting from a PBE-relaxed structure, the powder diffraction line list of Pm2Dy2ErSc was calculated for Cu Kα (λ = 1.5418 Å).
Neutral-atom scattering factors, no anomalous dispersion.

Most intense lines, 2θ from 5° to 70°, sorted by position:
Position (°2θ)	I_rel
9.2	2
18.4	5
24.4	2
26.0	9
32.0	100
41.7	15
45.9	16
53.4	5
57.2	26
63.7	16
63.8	4
67.1	6

Lattice parameters (Å, degrees): 6.862 5.580 9.661 90.00 90.00 90.00
Positions (direct):
Pm (0.000, 0.000, 0.000)
Pm (0.250, 0.500, 0.186)
Pm (0.500, 0.000, 0.000)
Pm (0.750, 0.500, 0.814)
Dy (0.250, 0.000, 0.332)
Dy (0.250, 0.500, 0.836)
Dy (0.750, 0.000, 0.668)
Dy (0.750, 0.500, 0.164)
Er (0.250, 0.000, 0.654)
Er (0.750, 0.000, 0.346)
Sc (0.000, 0.500, 0.500)
Sc (0.500, 0.500, 0.500)

***

Starting from a PBE-relaxed structure, the powder diffraction line list of Pm3Sc2Pb6 was calculated for Cu Kα (λ = 1.5418 Å).
Neutral-atom scattering factors, no anomalous dispersion.

Most intense lines, 2θ from 5° to 70°, sorted by position:
Position (°2θ)	I_rel
7.9	15
23.6	63
27.4	15
31.5	100
32.1	39
32.8	96
45.2	38
45.5	17
45.6	30
51.6	16
56.5	17
57.0	41

Lattice parameters (Å, degrees): 11.896 11.896 11.896 152.42 152.42 39.41
Positions (direct):
Pm (0.000, 0.000, 0.000)
Pm (0.159, 0.159, 0.000)
Pm (0.841, 0.841, 0.000)
Sc (0.428, 0.428, 0.000)
Sc (0.572, 0.572, 0.000)
Pb (0.080, 0.580, 0.500)
Pb (0.300, 0.300, 0.000)
Pb (0.420, 0.920, 0.500)
Pb (0.580, 0.080, 0.500)
Pb (0.700, 0.700, 0.000)
Pb (0.920, 0.420, 0.500)

***

Question: Number 3 is which compound?
Answer: Pm3Sc2Pb6